(1)
For Sm6Sb4Te, a structure optimized by DFT (PBE) gives the theoretical powder XRD pattern in this record (Cu Ka).

Top 12 peaks for 10 to 90 degrees two-theta, low angle first:
22.6°, intensity 22; 24.3°, intensity 20; 28.3°, intensity 34; 30.5°, intensity 84; 31.8°, intensity 83; 33.6°, intensity 100; 36.4°, intensity 29; 38.3°, intensity 36; 43.4°, intensity 25; 61.5°, intensity 21; 64.6°, intensity 20; 65.2°, intensity 22

Structure:
a b c (Å): 8.8527 8.8527 8.8527
angles (deg): 89.18 89.18 89.18
Sites, in units of the cell vectors:
1 Sm 0.0582 0.9122 0.6805
2 Sm 0.0878 0.3195 0.9418
3 Sm 0.1805 0.4122 0.5582
4 Sm 0.3195 0.9418 0.0878
5 Sm 0.4122 0.5582 0.1805
6 Sm 0.4418 0.8195 0.5878
7 Sm 0.5582 0.1805 0.4122
8 Sm 0.5878 0.4418 0.8195
9 Sm 0.6805 0.0582 0.9122
10 Sm 0.8195 0.5878 0.4418
11 Sm 0.9122 0.6805 0.0582
12 Sm 0.9418 0.0878 0.3195
13 Sb 0.1337 0.7500 0.3663
14 Sb 0.2500 0.2500 0.2500
15 Sb 0.2500 0.6337 0.8663
16 Sb 0.3663 0.1337 0.7500
17 Sb 0.6337 0.8663 0.2500
18 Sb 0.7500 0.3663 0.1337
19 Sb 0.7500 0.7500 0.7500
20 Sb 0.8663 0.2500 0.6337
21 Te 0.0000 0.0000 0.0000
22 Te 0.5000 0.5000 0.5000

=====

(2)
For Sm8Sb3Te4, a structure optimized by DFT (PBE) gives the theoretical powder XRD pattern in this record (Cu Ka).

Top 12 peaks for 10 to 90 degrees two-theta, low angle first:
24.7°, intensity 5; 28.6°, intensity 100; 40.9°, intensity 76; 50.6°, intensity 27; 59.1°, intensity 9; 59.2°, intensity 4; 67.0°, intensity 17; 67.0°, intensity 14; 74.4°, intensity 13; 74.4°, intensity 13; 88.5°, intensity 4; 88.6°, intensity 4

Structure:
a b c (Å): 8.8297 8.8297 8.8246
angles (deg): 119.91 119.91 90.08
Sites, in units of the cell vectors:
1 Sm 0.2429 0.2429 0.4956
2 Sm 0.2467 0.2467 0.9988
3 Sm 0.2468 0.7532 0.0000
4 Sm 0.2477 0.7523 0.5000
5 Sm 0.7523 0.2477 0.5000
6 Sm 0.7532 0.2468 0.0000
7 Sm 0.7533 0.7533 0.0012
8 Sm 0.7571 0.7571 0.5044
9 Sb 0.0000 0.0000 0.0000
10 Sb 0.0000 0.5000 0.5000
11 Sb 0.5000 0.0000 0.5000
12 Te 0.0000 0.5000 0.0000
13 Te 0.5000 0.0000 0.0000
14 Te 0.5000 0.5000 0.0000
15 Te 0.5000 0.5000 0.5000

=====

(3)
For Sm8Sb4Te3, a structure optimized by DFT (PBE) gives the theoretical powder XRD pattern in this record (Cu Ka).

Top 12 peaks for 10 to 90 degrees two-theta, low angle first:
24.6°, intensity 5; 28.5°, intensity 100; 40.7°, intensity 64; 40.8°, intensity 13; 50.4°, intensity 14; 50.5°, intensity 14; 59.0°, intensity 8; 66.8°, intensity 17; 66.9°, intensity 15; 74.1°, intensity 13; 74.2°, intensity 9; 74.3°, intensity 4

Structure:
a b c (Å): 8.8519 8.8519 8.8396
angles (deg): 119.89 119.89 90.08
Sites, in units of the cell vectors:
1 Sm 0.2467 0.2467 0.4958
2 Sm 0.2466 0.7534 0.0000
3 Sm 0.2503 0.2503 0.0058
4 Sm 0.2513 0.7487 0.5000
5 Sm 0.7487 0.2513 0.5000
6 Sm 0.7497 0.7497 0.9942
7 Sm 0.7534 0.2466 0.0000
8 Sm 0.7533 0.7533 0.5042
9 Sb 0.0000 0.0000 0.0000
10 Sb 0.0000 0.5000 0.5000
11 Sb 0.5000 0.0000 0.5000
12 Sb 0.5000 0.5000 0.5000
13 Te 0.0000 0.5000 0.0000
14 Te 0.5000 0.0000 0.0000
15 Te 0.5000 0.5000 0.0000

=====

(4)
For Sm8Sb6Te, a structure optimized by DFT (PBE) gives the theoretical powder XRD pattern in this record (Cu Ka).

Top 12 peaks for 10 to 90 degrees two-theta, low angle first:
24.9°, intensity 34; 26.7°, intensity 36; 28.4°, intensity 50; 31.4°, intensity 100; 34.3°, intensity 36; 38.0°, intensity 25; 38.1°, intensity 54; 46.1°, intensity 23; 48.2°, intensity 16; 52.1°, intensity 16; 57.8°, intensity 18; 73.0°, intensity 21

Structure:
a b c (Å): 10.8874 10.8874 4.7339
angles (deg): 90.00 90.00 120.00
Sites, in units of the cell vectors:
1 Sm 0.0292 0.3122 0.2367
2 Sm 0.2830 0.9708 0.2367
3 Sm 0.3122 0.2830 0.7633
4 Sm 0.3333 0.6667 0.7574
5 Sm 0.6667 0.3333 0.2426
6 Sm 0.6878 0.7170 0.2367
7 Sm 0.7170 0.0292 0.7633
8 Sm 0.9708 0.6878 0.7633
9 Sb 0.1218 0.6461 0.2596
10 Sb 0.3539 0.4757 0.2596
11 Sb 0.4757 0.1218 0.7404
12 Sb 0.5243 0.8782 0.2596
13 Sb 0.6461 0.5243 0.7404
14 Sb 0.8782 0.3539 0.7404
15 Te 0.0000 0.0000 0.0000

=====

(5)
For Sm3Sb2Te3, a structure optimized by DFT (PBE) gives the theoretical powder XRD pattern in this record (Cu Ka).

Top 12 peaks for 10 to 90 degrees two-theta, low angle first:
10.7°, intensity 18; 28.5°, intensity 20; 29.3°, intensity 23; 32.1°, intensity 85; 32.4°, intensity 100; 34.9°, intensity 92; 42.0°, intensity 24; 48.4°, intensity 26; 53.8°, intensity 20; 60.8°, intensity 17; 61.1°, intensity 18; 70.6°, intensity 21

Structure:
a b c (Å): 9.5628 9.5628 6.0971
angles (deg): 90.00 90.00 120.00
Sites, in units of the cell vectors:
1 Sm 0.0000 0.3782 0.2500
2 Sm 0.0000 0.6218 0.7500
3 Sm 0.3782 0.0000 0.2500
4 Sm 0.3782 0.3782 0.7500
5 Sm 0.6218 0.0000 0.7500
6 Sm 0.6218 0.6218 0.2500
7 Sb 0.3333 0.6667 0.0000
8 Sb 0.3333 0.6667 0.5000
9 Sb 0.6667 0.3333 0.0000
10 Sb 0.6667 0.3333 0.5000
11 Te 0.0000 0.2695 0.7500
12 Te 0.0000 0.7305 0.2500
13 Te 0.2695 0.0000 0.7500
14 Te 0.2695 0.2695 0.2500
15 Te 0.7305 0.0000 0.2500
16 Te 0.7305 0.7305 0.7500

=====

(6)
For Sm5SbTe5, a structure optimized by DFT (PBE) gives the theoretical powder XRD pattern in this record (Cu Ka).

Top 12 peaks for 10 to 90 degrees two-theta, low angle first:
28.3°, intensity 51; 28.5°, intensity 100; 40.6°, intensity 77; 40.8°, intensity 38; 50.4°, intensity 41; 59.0°, intensity 13; 66.5°, intensity 18; 66.8°, intensity 22; 66.8°, intensity 13; 73.9°, intensity 13; 74.1°, intensity 26; 88.0°, intensity 8

Structure:
a b c (Å): 7.6732 7.6732 8.8541
angles (deg): 106.75 106.75 48.47
Sites, in units of the cell vectors:
1 Sm 0.0000 0.0000 0.0000
2 Sm 0.3363 0.3363 0.1686
3 Sm 0.3367 0.3367 0.6680
4 Sm 0.6633 0.6633 0.3320
5 Sm 0.6637 0.6637 0.8314
6 Sb 0.5000 0.5000 0.0000
7 Te 0.1642 0.1642 0.3370
8 Te 0.1655 0.1655 0.8286
9 Te 0.5000 0.5000 0.5000
10 Te 0.8345 0.8345 0.1714
11 Te 0.8358 0.8358 0.6630

=====

(7)
For SmSb2Te4, a structure optimized by DFT (PBE) gives the theoretical powder XRD pattern in this record (Cu Ka).

Top 12 peaks for 10 to 90 degrees two-theta, low angle first:
25.1°, intensity 36; 26.1°, intensity 35; 26.8°, intensity 75; 28.4°, intensity 75; 29.1°, intensity 58; 32.0°, intensity 55; 32.4°, intensity 81; 34.0°, intensity 100; 34.7°, intensity 61; 36.1°, intensity 49; 38.1°, intensity 75; 43.9°, intensity 34

Structure:
a b c (Å): 8.2696 8.3167 8.3523
angles (deg): 78.91 69.46 64.12
Sites, in units of the cell vectors:
1 Sm 0.0000 0.0000 0.0000
2 Sm 0.1413 0.6111 0.5363
3 Sb 0.0960 0.5642 0.9763
4 Sb 0.3808 0.0586 0.4827
5 Sb 0.5838 0.5654 0.0073
6 Sb 0.8454 0.0980 0.5095
7 Te 0.2883 0.8611 0.2298
8 Te 0.3504 0.7480 0.7231
9 Te 0.3617 0.3550 0.1984
10 Te 0.4371 0.2623 0.6891
11 Te 0.7925 0.8493 0.8371
12 Te 0.7936 0.8348 0.3406
13 Te 0.8587 0.3610 0.1978
14 Te 0.9469 0.3110 0.6988

=====

(8)
For SmSbTe, a structure optimized by DFT (PBE) gives the theoretical powder XRD pattern in this record (Cu Ka).

Top 12 peaks for 10 to 90 degrees two-theta, low angle first:
28.4°, intensity 43; 29.2°, intensity 25; 30.7°, intensity 100; 35.0°, intensity 92; 35.3°, intensity 64; 41.8°, intensity 63; 51.3°, intensity 33; 52.9°, intensity 15; 55.8°, intensity 34; 60.5°, intensity 21; 69.4°, intensity 19; 71.9°, intensity 22

Structure:
a b c (Å): 4.3258 4.3258 9.4363
angles (deg): 90.00 90.00 90.00
Sites, in units of the cell vectors:
1 Sm 0.2500 0.2500 0.2261
2 Sm 0.7500 0.7500 0.7739
3 Sb 0.2500 0.7500 0.5000
4 Sb 0.7500 0.2500 0.5000
5 Te 0.2500 0.2500 0.8755
6 Te 0.7500 0.7500 0.1245

=====

(9)
For Sm3Tl3SbTe8, a structure optimized by DFT (PBE) gives the theoretical powder XRD pattern in this record (Cu Ka).

Top 12 peaks for 10 to 90 degrees two-theta, low angle first:
11.9°, intensity 6; 13.5°, intensity 6; 27.2°, intensity 100; 37.6°, intensity 38; 40.1°, intensity 37; 44.8°, intensity 6; 49.1°, intensity 20; 56.1°, intensity 12; 61.7°, intensity 15; 65.1°, intensity 17; 71.1°, intensity 12; 72.8°, intensity 6

Structure:
a b c (Å): 9.0035 9.0035 9.6153
angles (deg): 117.92 117.92 60.02
Sites, in units of the cell vectors:
1 Sm 0.0000 0.0000 0.0000
2 Sm 0.0000 0.5000 0.0000
3 Sm 0.5000 0.0000 0.0000
4 Tl 0.0000 0.5000 0.5000
5 Tl 0.5000 0.0000 0.5000
6 Tl 0.5000 0.5000 0.5000
7 Sb 0.5000 0.5000 0.0000
8 Te 0.2406 0.2406 0.2212
9 Te 0.2438 0.7353 0.2133
10 Te 0.2647 0.2647 0.7858
11 Te 0.2647 0.7562 0.7867
12 Te 0.7353 0.2438 0.2133
13 Te 0.7353 0.7353 0.2142
14 Te 0.7562 0.2647 0.7867
15 Te 0.7594 0.7594 0.7788

=====

(10)
For SmThSb2, a structure optimized by DFT (PBE) gives the theoretical powder XRD pattern in this record (Cu Ka).

Top 12 peaks for 10 to 90 degrees two-theta, low angle first:
26.1°, intensity 72; 29.3°, intensity 100; 33.3°, intensity 15; 37.9°, intensity 44; 41.0°, intensity 63; 42.9°, intensity 22; 48.0°, intensity 14; 51.2°, intensity 22; 57.0°, intensity 14; 64.9°, intensity 33; 67.5°, intensity 19; 72.6°, intensity 13

Structure:
a b c (Å): 4.4073 4.4073 15.1740
angles (deg): 90.00 90.00 120.00
Sites, in units of the cell vectors:
1 Sm 0.0000 0.0000 0.0000
2 Sm 0.0000 0.0000 0.5000
3 Th 0.3333 0.6667 0.2500
4 Th 0.6667 0.3333 0.7500
5 Sb 0.3333 0.6667 0.6218
6 Sb 0.3333 0.6667 0.8782
7 Sb 0.6667 0.3333 0.1218
8 Sb 0.6667 0.3333 0.3782

=====

(11)
For Sm5TlSb2, a structure optimized by DFT (PBE) gives the theoretical powder XRD pattern in this record (Cu Ka).

Top 12 peaks for 10 to 90 degrees two-theta, low angle first:
27.2°, intensity 21; 30.3°, intensity 66; 31.7°, intensity 100; 31.8°, intensity 66; 34.8°, intensity 37; 40.5°, intensity 46; 44.5°, intensity 48; 48.0°, intensity 28; 55.2°, intensity 15; 56.6°, intensity 19; 62.7°, intensity 13; 73.6°, intensity 18

Structure:
a b c (Å): 5.7262 5.7262 17.6786
angles (deg): 90.00 90.00 121.20
Sites, in units of the cell vectors:
1 Sm 0.0883 0.9117 0.5778
2 Sm 0.0883 0.9117 0.9222
3 Sm 0.2719 0.7281 0.2500
4 Sm 0.4079 0.5921 0.5986
5 Sm 0.4079 0.5921 0.9014
6 Sm 0.5921 0.4079 0.0986
7 Sm 0.5921 0.4079 0.4014
8 Sm 0.7281 0.2719 0.7500
9 Sm 0.9117 0.0883 0.0778
10 Sm 0.9117 0.0883 0.4222
11 Tl 0.0552 0.9448 0.7500
12 Tl 0.9448 0.0552 0.2500
13 Sb 0.2610 0.7390 0.0729
14 Sb 0.2610 0.7390 0.4271
15 Sb 0.7390 0.2610 0.5729
16 Sb 0.7390 0.2610 0.9271

=====

(12)
For Sm6TlSb3, a structure optimized by DFT (PBE) gives the theoretical powder XRD pattern in this record (Cu Ka).

Top 12 peaks for 10 to 90 degrees two-theta, low angle first:
29.8°, intensity 38; 31.6°, intensity 100; 31.9°, intensity 100; 33.7°, intensity 43; 34.1°, intensity 50; 42.1°, intensity 31; 49.5°, intensity 16; 54.9°, intensity 21; 55.2°, intensity 25; 63.2°, intensity 19; 64.2°, intensity 19; 82.5°, intensity 13

Structure:
a b c (Å): 8.3680 8.3680 8.5936
angles (deg): 90.00 90.00 88.76
Sites, in units of the cell vectors:
1 Sm 0.0029 0.4970 0.2500
2 Sm 0.1592 0.8408 0.5024
3 Sm 0.1592 0.8408 0.9976
4 Sm 0.3381 0.3381 0.0000
5 Sm 0.3381 0.3381 0.5000
6 Sm 0.4970 0.0029 0.7500
7 Sm 0.5030 0.9971 0.2500
8 Sm 0.6619 0.6619 0.0000
9 Sm 0.6619 0.6619 0.5000
10 Sm 0.8408 0.1592 0.0024
11 Sm 0.8408 0.1592 0.4976
12 Sm 0.9971 0.5030 0.7500
13 Tl 0.3546 0.6454 0.2500
14 Tl 0.6454 0.3546 0.7500
15 Sb 0.1406 0.1468 0.7500
16 Sb 0.1468 0.1406 0.2500
17 Sb 0.3621 0.6379 0.7500
18 Sb 0.6379 0.3621 0.2500
19 Sb 0.8532 0.8594 0.7500
20 Sb 0.8594 0.8532 0.2500